1.
Computed X-ray diffraction stick pattern
Compound: Er2NpTl2S6
Radiation: Cu Kα (λ = 1.5418 Å)
Structure: a cell relaxed with GGA-PBE

Largest 10 diffraction maxima, sorted by position, 2θ = 10–90°:
2θ 11.68, rel. 21; 2θ 15.37, rel. 26; 2θ 23.48, rel. 46; 2θ 27.04, rel. 89; 2θ 30.24, rel. 56; 2θ 30.37, rel. 100; 2θ 41.10, rel. 39; 2θ 45.59, rel. 50; 2θ 48.01, rel. 28; 2θ 63.20, rel. 21

Atomic structure:
```
Er2NpTl2S6
1.0
3.445 -5.972 0.000
3.445 5.972 0.000
-2.345 0.000 7.578
Er Np Tl S
2 1 2 6
Cartesian
3.445 3.980 0.000
3.445 -3.980 0.000
3.445 0.000 0.000
2.273 2.012 3.789
2.273 -2.012 3.789
-0.027 1.981 6.118
1.184 0.000 1.464
-0.027 -1.981 6.118
4.572 1.981 1.460
3.361 0.000 6.115
4.572 -1.981 1.460
```


2.
Computed X-ray diffraction stick pattern
Compound: LiHf2Ti3N6
Radiation: Cu Kα (λ = 1.5418 Å)
Structure: a cell relaxed with GGA-PBE

Largest 10 diffraction maxima, sorted by position, 2θ = 10–90°:
2θ 13.58, rel. 28; 2θ 14.80, rel. 29; 2θ 17.50, rel. 36; 2θ 22.48, rel. 22; 2θ 29.85, rel. 30; 2θ 35.43, rel. 28; 2θ 35.77, rel. 54; 2θ 35.94, rel. 26; 2θ 41.49, rel. 100; 2θ 59.80, rel. 21

Atomic structure:
```
LiHf2Ti3N6
1.0
6.722 -1.537 0.000
6.722 1.537 0.000
-1.505 0.000 5.986
Li Hf Ti N
1 2 3 6
Cartesian
0.000 0.000 0.000
3.549 0.000 4.072
8.391 0.000 1.914
-0.752 0.000 2.993
4.347 0.000 1.019
7.593 0.000 4.967
1.339 0.000 3.509
2.153 0.000 0.447
6.292 0.000 1.562
5.648 0.000 4.423
9.787 0.000 5.538
10.601 0.000 2.476
```


3.
Computed X-ray diffraction stick pattern
Compound: Pm2Co
Radiation: Cu Kα (λ = 1.5418 Å)
Structure: a cell relaxed with GGA-PBE

Largest 10 diffraction maxima, sorted by position, 2θ = 10–90°:
2θ 26.68, rel. 47; 2θ 27.21, rel. 29; 2θ 33.05, rel. 100; 2θ 36.79, rel. 63; 2θ 43.32, rel. 43; 2θ 46.35, rel. 28; 2θ 53.01, rel. 22; 2θ 63.90, rel. 29; 2θ 69.01, rel. 19; 2θ 70.78, rel. 19

Atomic structure:
```
Pm2Co
1.0
-1.727 1.727 6.555
1.727 -1.727 6.555
1.727 1.727 -6.555
Pm Co
2 1
Cartesian
0.000 0.000 1.654
0.000 0.000 11.457
0.000 0.000 6.555
```


4.
Computed X-ray diffraction stick pattern
Compound: CsHg7H5
Radiation: Cu Kα (λ = 1.5418 Å)
Structure: a cell relaxed with GGA-PBE

Largest 10 diffraction maxima, sorted by position, 2θ = 10–90°:
2θ 23.52, rel. 26; 2θ 24.79, rel. 23; 2θ 28.03, rel. 100; 2θ 31.12, rel. 19; 2θ 33.19, rel. 17; 2θ 35.93, rel. 15; 2θ 37.88, rel. 16; 2θ 39.30, rel. 19; 2θ 40.81, rel. 20; 2θ 57.98, rel. 24

Atomic structure:
```
CsHg7H5
1.0
3.792 -4.422 0.000
3.792 4.422 0.000
-0.686 0.000 9.169
Cs Hg H
1 7 5
Cartesian
0.000 0.000 0.000
1.432 2.025 6.668
1.583 0.000 4.281
1.432 -2.025 6.668
3.130 0.000 8.687
5.412 2.010 2.383
4.986 0.000 4.800
5.412 -2.010 2.383
3.313 2.398 6.738
3.522 2.246 2.304
5.446 0.000 2.196
3.522 -2.246 2.304
3.313 -2.398 6.738
```


5.
Computed X-ray diffraction stick pattern
Compound: NdDy6Ho2Mg
Radiation: Cu Kα (λ = 1.5418 Å)
Structure: a cell relaxed with GGA-PBE

Largest 10 diffraction maxima, sorted by position, 2θ = 10–90°:
2θ 27.82, rel. 17; 2θ 28.82, rel. 18; 2θ 29.04, rel. 23; 2θ 31.78, rel. 100; 2θ 32.56, rel. 50; 2θ 33.12, rel. 70; 2θ 33.32, rel. 27; 2θ 33.86, rel. 29; 2θ 59.35, rel. 17; 2θ 64.18, rel. 19

Atomic structure:
```
NdDy6Ho2Mg
1.0
4.995 -9.619 0.000
4.995 9.619 0.000
-0.994 0.000 6.546
Nd Dy Ho Mg
2 12 4 2
Cartesian
4.250 9.404 4.910
4.747 -9.404 1.637
3.837 6.841 3.023
2.496 4.641 5.136
5.656 6.841 0.250
3.435 1.638 3.397
6.003 4.641 4.684
3.932 -1.638 0.124
5.065 1.638 6.422
2.993 -4.641 1.863
5.561 -1.638 3.149
3.340 -6.841 6.296
6.500 -4.641 1.411
5.159 -6.841 3.523
2.593 1.617 0.018
2.097 -1.617 3.291
6.900 1.617 3.255
6.403 -1.617 6.528
4.747 4.001 1.637
4.250 -4.001 4.910
```


6.
Computed X-ray diffraction stick pattern
Compound: LaInHgPb
Radiation: Cu Kα (λ = 1.5418 Å)
Structure: a cell relaxed with GGA-PBE

Largest 10 diffraction maxima, sorted by position, 2θ = 10–90°:
2θ 32.14, rel. 100; 2θ 36.34, rel. 18; 2θ 37.66, rel. 16; 2θ 37.83, rel. 16; 2θ 53.33, rel. 12; 2θ 53.47, rel. 12; 2θ 62.76, rel. 15; 2θ 64.52, rel. 14; 2θ 64.76, rel. 14; 2θ 67.23, rel. 12

Atomic structure:
```
LaInHgPb
1.0
4.756 0.000 0.000
0.000 4.778 0.000
0.000 0.000 4.944
La In Hg Pb
1 1 1 1
Cartesian
0.000 0.000 0.000
0.000 2.389 2.472
2.378 0.000 2.472
2.378 2.389 0.000
```


7.
Computed X-ray diffraction stick pattern
Compound: BaNd4Si4
Radiation: Cu Kα (λ = 1.5418 Å)
Structure: a cell relaxed with GGA-PBE

Largest 10 diffraction maxima, sorted by position, 2θ = 10–90°:
2θ 12.76, rel. 43; 2θ 25.30, rel. 96; 2θ 28.77, rel. 100; 2θ 29.88, rel. 52; 2θ 31.68, rel. 70; 2θ 32.61, rel. 31; 2θ 36.36, rel. 47; 2θ 41.21, rel. 52; 2θ 49.20, rel. 33; 2θ 56.31, rel. 33

Atomic structure:
```
BaNd4Si4
1.0
9.811 0.000 0.000
0.000 9.811 0.000
0.000 0.000 5.899
Ba Nd Si
2 8 8
Cartesian
2.453 2.453 1.475
7.358 7.358 4.424
1.142 6.177 0.744
1.272 8.670 3.694
3.634 6.047 3.694
3.764 8.540 0.744
6.047 1.272 5.155
6.177 3.764 2.205
8.540 1.142 2.205
8.670 3.634 5.155
0.646 5.572 3.736
0.667 9.166 0.787
4.239 5.551 0.787
4.260 9.145 3.736
5.551 0.667 2.163
5.572 4.260 5.112
9.145 0.646 5.112
9.166 4.239 2.163
```


8.
Computed X-ray diffraction stick pattern
Compound: Pa2TaGeN6
Radiation: Cu Kα (λ = 1.5418 Å)
Structure: a cell relaxed with GGA-PBE

Largest 10 diffraction maxima, sorted by position, 2θ = 10–90°:
2θ 18.05, rel. 13; 2θ 30.11, rel. 100; 2θ 34.06, rel. 37; 2θ 36.56, rel. 11; 2θ 44.16, rel. 12; 2θ 48.93, rel. 18; 2θ 50.82, rel. 23; 2θ 58.53, rel. 32; 2θ 62.60, rel. 10; 2θ 82.65, rel. 13

Atomic structure:
```
Pa2TaGeN6
1.0
5.265 0.000 0.000
0.000 5.265 0.000
0.000 0.000 4.915
Pa Ta Ge N
2 1 1 6
Cartesian
0.000 2.633 0.000
2.633 0.000 0.000
0.000 0.000 2.823
2.633 2.633 2.808
0.000 0.000 0.898
1.338 1.338 3.570
1.338 3.927 3.570
2.633 2.633 0.963
3.927 1.338 3.570
3.927 3.927 3.570
```


9.
Computed X-ray diffraction stick pattern
Compound: BeTcHg2
Radiation: Cu Kα (λ = 1.5418 Å)
Structure: a cell relaxed with GGA-PBE

Largest 10 diffraction maxima, sorted by position, 2θ = 10–90°:
2θ 13.05, rel. 21; 2θ 29.68, rel. 75; 2θ 35.95, rel. 100; 2θ 37.69, rel. 62; 2θ 39.87, rel. 36; 2θ 40.90, rel. 83; 2θ 53.07, rel. 25; 2θ 63.52, rel. 31; 2θ 67.17, rel. 33; 2θ 69.78, rel. 20

Atomic structure:
```
BeTcHg2
1.0
2.997 0.000 0.000
0.000 3.359 0.000
-1.495 0.000 6.784
Be Tc Hg
1 1 2
Cartesian
0.000 0.000 0.000
0.003 1.679 6.212
-0.008 1.679 1.980
1.497 0.000 4.216
```


10.
Computed X-ray diffraction stick pattern
Compound: Ce4Sb
Radiation: Cu Kα (λ = 1.5418 Å)
Structure: a cell relaxed with GGA-PBE

Largest 10 diffraction maxima, sorted by position, 2θ = 10–90°:
2θ 33.06, rel. 81; 2θ 33.16, rel. 100; 2θ 35.16, rel. 42; 2θ 36.18, rel. 40; 2θ 43.47, rel. 15; 2θ 51.34, rel. 28; 2θ 57.80, rel. 13; 2θ 61.89, rel. 19; 2θ 63.14, rel. 28; 2θ 66.38, rel. 26

Atomic structure:
```
Ce4Sb
1.0
-2.483 3.301 8.049
2.483 -3.301 8.049
2.483 3.301 -8.049
Ce Sb
8 2
Cartesian
0.000 0.000 0.000
2.483 1.650 -1.575
0.000 0.070 3.292
2.483 0.070 4.757
0.000 3.301 0.000
0.000 3.231 3.292
2.483 3.231 4.757
0.000 1.650 9.624
2.483 1.650 1.710
0.000 1.650 6.339
```


11.
Computed X-ray diffraction stick pattern
Compound: Sm2Dy3Y6
Radiation: Cu Kα (λ = 1.5418 Å)
Structure: a cell relaxed with GGA-PBE

Largest 10 diffraction maxima, sorted by position, 2θ = 10–90°:
2θ 23.12, rel. 21; 2θ 25.02, rel. 22; 2θ 29.92, rel. 25; 2θ 31.67, rel. 42; 2θ 31.93, rel. 44; 2θ 32.56, rel. 61; 2θ 32.99, rel. 100; 2θ 33.81, rel. 33; 2θ 51.29, rel. 31; 2θ 59.72, rel. 20

Atomic structure:
```
Sm2Dy3Y6
1.0
6.004 0.000 0.000
0.000 10.844 0.000
0.000 0.000 11.302
Sm Dy Y
4 6 12
Cartesian
1.428 0.676 0.000
1.574 6.097 5.651
4.431 4.746 5.651
4.576 10.168 0.000
0.000 0.000 3.315
0.000 0.000 7.988
0.000 5.422 0.000
3.002 0.000 5.651
3.002 5.422 2.337
3.002 5.422 8.966
0.154 3.438 2.493
0.154 3.438 8.809
0.714 2.418 5.651
2.288 7.840 0.000
2.848 8.860 3.158
2.848 8.860 8.144
3.156 1.984 3.158
3.156 1.984 8.144
3.716 3.003 0.000
5.290 8.425 5.651
5.850 7.405 2.493
5.850 7.405 8.809
```


12.
Computed X-ray diffraction stick pattern
Compound: Ba4Na5Cd2
Radiation: Cu Kα (λ = 1.5418 Å)
Structure: a cell relaxed with GGA-PBE

Largest 10 diffraction maxima, sorted by position, 2θ = 10–90°:
2θ 11.73, rel. 61; 2θ 26.17, rel. 75; 2θ 26.86, rel. 100; 2θ 27.42, rel. 93; 2θ 28.78, rel. 71; 2θ 30.00, rel. 84; 2θ 30.80, rel. 76; 2θ 31.98, rel. 48; 2θ 39.64, rel. 41; 2θ 44.82, rel. 50

Atomic structure:
```
Ba4Na5Cd2
1.0
9.325 0.000 0.000
0.000 4.547 0.000
-0.736 0.000 11.825
Ba Na Cd
4 5 2
Cartesian
1.310 0.000 4.212
1.344 0.000 11.203
7.245 0.000 0.623
7.278 0.000 7.614
1.279 2.274 7.761
4.012 2.274 2.184
4.294 2.274 5.913
4.577 2.274 9.642
7.309 2.274 4.064
0.498 2.274 1.642
8.090 2.274 10.184
```


13.
Computed X-ray diffraction stick pattern
Compound: SrZnCl
Radiation: Cu Kα (λ = 1.5418 Å)
Structure: a cell relaxed with GGA-PBE

Largest 10 diffraction maxima, sorted by position, 2θ = 10–90°:
2θ 20.47, rel. 11; 2θ 28.49, rel. 100; 2θ 35.85, rel. 52; 2θ 39.81, rel. 13; 2θ 46.41, rel. 25; 2θ 54.64, rel. 29; 2θ 60.00, rel. 23; 2θ 65.47, rel. 9; 2θ 78.48, rel. 10; 2θ 83.04, rel. 9

Atomic structure:
```
SrZnCl
1.0
5.010 0.000 0.000
-2.505 4.339 0.000
0.000 0.000 4.528
Sr Zn Cl
1 1 1
Cartesian
0.000 0.000 0.000
2.505 1.446 2.264
0.000 2.892 0.000
```


14.
Computed X-ray diffraction stick pattern
Compound: Rb2PdAu
Radiation: Cu Kα (λ = 1.5418 Å)
Structure: a cell relaxed with GGA-PBE

Largest 10 diffraction maxima, sorted by position, 2θ = 10–90°:
2θ 25.43, rel. 74; 2θ 27.24, rel. 100; 2θ 29.03, rel. 24; 2θ 31.58, rel. 76; 2θ 34.04, rel. 44; 2θ 38.40, rel. 99; 2θ 39.05, rel. 31; 2θ 39.67, rel. 78; 2θ 48.82, rel. 23; 2θ 55.88, rel. 43

Atomic structure:
```
Rb2PdAu
1.0
4.060 -2.344 0.000
4.060 2.344 0.000
-2.682 0.000 9.227
Rb Pd Au
2 1 1
Cartesian
0.000 0.000 0.000
0.002 0.000 4.467
2.709 0.000 2.233
5.416 0.000 2.233
```